No. 1
Computed XRD peak list of LiZr2PaN4 for copper Kα, from a crystal structure in Alexandria, relaxed with GGA-PBE.
Intensities are scaled so that the largest is 100.

Structure:
```
LiZr2PaN4
1.0
-2.3082 2.3082 4.7744
2.3082 -2.3082 4.7744
2.3082 2.3082 -4.7744
Li Zr Pa N
1 2 1 4
Direct
0.0000 0.0000 0.0000
0.2500 0.7500 0.5000
0.7500 0.2500 0.5000
0.5000 0.5000 0.0000
0.0000 0.5000 0.5000
0.2560 0.2560 0.0000
0.5000 0.0000 0.5000
0.7440 0.7440 0.0000
```

Top 10 peaks for 15° ≤ 2θ ≤ 90°, sorted by position:
Position (°2θ)	d_spacing	Rel. int.
21.4	4.156	100.0
33.2	2.695	90.2
34.2	2.620	30.1
37.7	2.387	27.1
39.0	2.308	49.1
44.9	2.018	29.9
52.9	1.732	18.2
55.4	1.659	34.2
67.0	1.396	25.9
69.8	1.347	16.7


No. 2
Computed XRD peak list of Rb4Be2N for copper Kα, from a crystal structure in Alexandria, relaxed with GGA-PBE.
Intensities are scaled so that the largest is 100.

Structure:
```
Rb4Be2N
1.0
-2.8373 2.8373 9.2234
2.8373 -2.8373 9.2234
2.8373 2.8373 -9.2234
Rb Be N
4 2 1
Direct
0.0000 0.5000 0.5000
0.1640 0.1640 0.0000
0.5000 0.0000 0.5000
0.8360 0.8360 0.0000
0.3633 0.3633 0.0000
0.6367 0.6367 0.0000
0.0000 0.0000 0.0000
```

Top 10 peaks for 15° ≤ 2θ ≤ 90°, sorted by position:
Position (°2θ)	d_spacing	Rel. int.
16.3	5.424	38.5
21.3	4.170	49.1
24.2	3.679	100.0
29.0	3.074	35.9
29.5	3.027	73.8
31.5	2.837	60.1
43.4	2.085	45.9
51.9	1.761	24.5
54.6	1.680	22.9
54.9	1.672	25.0


No. 3
Computed XRD peak list of Cs6Y3Br14 for copper Kα, from a crystal structure in Alexandria, relaxed with GGA-PBE.
Intensities are scaled so that the largest is 100.

Structure:
```
Cs6Y3Br14
1.0
13.1891 0.0000 0.0000
-6.5945 11.4221 0.0000
0.0000 0.0000 7.1165
Cs Y Br
6 3 14
Direct
0.0252 0.4563 0.0000
0.3056 0.2125 0.4762
0.4311 0.9748 0.0000
0.5437 0.5689 0.0000
0.7875 0.0931 0.4762
0.9069 0.6944 0.4762
0.0000 0.0000 0.0517
0.3333 0.6667 0.5707
0.6667 0.3333 0.7255
0.0000 0.0000 0.6697
0.0692 0.2176 0.1883
0.1484 0.9308 0.1883
0.1878 0.7398 0.7021
0.2602 0.4480 0.7021
0.3333 0.6667 0.1883
0.4621 0.2634 0.9456
0.5302 0.1284 0.5076
0.5520 0.8122 0.7021
0.5982 0.4698 0.5076
0.7366 0.1987 0.9456
0.7824 0.8516 0.1883
0.8013 0.5379 0.9456
0.8716 0.4018 0.5076
```

Top 10 peaks for 15° ≤ 2θ ≤ 90°, sorted by position:
Position (°2θ)	d_spacing	Rel. int.
18.3	4.837	49.6
19.9	4.454	77.6
24.1	3.691	70.0
26.2	3.397	38.6
26.6	3.357	88.7
28.2	3.168	73.6
29.6	3.020	57.4
30.9	2.894	100.0
32.6	2.746	51.9
38.0	2.366	34.9


No. 4
Computed XRD peak list of Li2Pm3Mg2Tl4 for copper Kα, from a crystal structure in Alexandria, relaxed with GGA-PBE.
Intensities are scaled so that the largest is 100.

Structure:
```
Li2Pm3Mg2Tl4
1.0
4.9561 0.0000 0.0000
-2.4780 4.2921 0.0000
0.0000 0.0000 13.8951
Li Pm Mg Tl
2 3 2 4
Direct
0.3333 0.6667 0.1357
0.6667 0.3333 0.8643
0.0000 0.0000 0.0000
0.0000 0.0000 0.2619
0.0000 0.0000 0.7381
0.3333 0.6667 0.5700
0.6667 0.3333 0.4300
0.3333 0.6667 0.3579
0.3333 0.6667 0.8782
0.6667 0.3333 0.1218
0.6667 0.3333 0.6421
```

Top 10 peaks for 15° ≤ 2θ ≤ 90°, sorted by position:
Position (°2θ)	d_spacing	Rel. int.
24.4	3.651	100.0
33.2	2.700	75.5
36.3	2.478	72.7
44.2	2.050	21.2
44.5	2.038	21.4
50.0	1.826	24.1
58.4	1.580	18.9
63.3	1.470	23.8
65.2	1.431	13.3
65.6	1.422	15.9


No. 5
Computed XRD peak list of Ac4SnB3Rh12 for copper Kα, from a crystal structure in Alexandria, relaxed with GGA-PBE.
Intensities are scaled so that the largest is 100.

Structure:
```
Ac4SnB3Rh12
1.0
-4.4858 4.4858 4.4858
4.4858 -4.4858 4.4858
4.4858 4.4858 -4.4858
Ac Sn B Rh
4 1 3 12
Direct
0.0000 0.0000 0.5000
0.0000 0.5000 0.0000
0.5000 0.0000 0.0000
0.5000 0.5000 0.5000
0.0000 0.0000 0.0000
0.0000 0.5000 0.5000
0.5000 0.0000 0.5000
0.5000 0.5000 0.0000
0.0000 0.2814 0.2814
0.0000 0.7186 0.7186
0.2500 0.5000 0.7500
0.2500 0.7500 0.5000
0.2814 0.0000 0.2814
0.2814 0.2814 0.0000
0.5000 0.2500 0.7500
0.5000 0.7500 0.2500
0.7186 0.0000 0.7186
0.7186 0.7186 0.0000
0.7500 0.2500 0.5000
0.7500 0.5000 0.2500
```

Top 10 peaks for 15° ≤ 2θ ≤ 90°, sorted by position:
Position (°2θ)	d_spacing	Rel. int.
28.1	3.172	26.8
34.6	2.590	100.0
40.2	2.243	64.8
49.8	1.831	9.7
58.2	1.586	41.5
65.8	1.419	7.3
69.5	1.353	35.0
73.1	1.295	13.2
80.0	1.199	7.4
86.9	1.121	6.3


No. 6
Computed XRD peak list of Pm2Te3H for copper Kα, from a crystal structure in Alexandria, relaxed with GGA-PBE.
Intensities are scaled so that the largest is 100.

Structure:
```
Pm2Te3H
1.0
11.8678 0.0000 0.0000
0.0000 4.1624 0.0000
0.0000 0.0000 12.9218
Pm Te H
8 12 4
Direct
0.0571 0.2500 0.1735
0.2001 0.2500 0.5163
0.2999 0.7500 0.0163
0.4429 0.7500 0.6735
0.5571 0.2500 0.3265
0.7001 0.2500 0.9837
0.7999 0.7500 0.4837
0.9429 0.7500 0.8265
0.0631 0.7500 0.3733
0.1164 0.2500 0.9332
0.1779 0.7500 0.6977
0.3221 0.2500 0.1977
0.3836 0.7500 0.4332
0.4369 0.2500 0.8733
0.5631 0.7500 0.1267
0.6164 0.2500 0.5668
0.6779 0.7500 0.8023
0.8221 0.2500 0.3023
0.8836 0.7500 0.0668
0.9369 0.2500 0.6267
0.1379 0.7500 0.1213
0.3621 0.2500 0.6213
0.6379 0.7500 0.3787
0.8621 0.2500 0.8787
```

Top 10 peaks for 15° ≤ 2θ ≤ 90°, sorted by position:
Position (°2θ)	d_spacing	Rel. int.
29.6	3.014	46.3
29.9	2.993	70.6
30.8	2.902	94.2
30.9	2.892	63.9
31.5	2.837	35.2
32.0	2.799	100.0
34.2	2.621	37.7
39.8	2.263	49.9
43.5	2.081	51.7
54.3	1.689	34.1


No. 7
Computed XRD peak list of La8NdTm5 for copper Kα, from a crystal structure in Alexandria, relaxed with GGA-PBE.
Intensities are scaled so that the largest is 100.

Structure:
```
La8NdTm5
1.0
6.5021 -5.6313 0.0000
6.5021 5.6313 0.0000
-6.2880 0.0000 6.6810
La Nd Tm
8 1 5
Direct
0.0668 0.0668 0.2871
0.1002 0.2840 0.7710
0.3646 0.4945 0.7087
0.5055 0.6354 0.2913
0.5606 0.1306 0.9505
0.7160 0.8998 0.2290
0.8694 0.4394 0.0495
0.9332 0.9332 0.7129
0.2113 0.7887 0.0000
0.2282 0.7718 0.5000
0.3352 0.2909 0.2493
0.5438 0.1107 0.5438
0.7091 0.6649 0.7507
0.8893 0.4562 0.4562
```

Top 10 peaks for 15° ≤ 2θ ≤ 90°, sorted by position:
Position (°2θ)	d_spacing	Rel. int.
23.2	3.839	16.3
25.6	3.474	27.9
29.4	3.039	51.2
30.2	2.959	16.3
31.0	2.886	38.4
31.1	2.873	100.0
31.8	2.815	54.9
32.4	2.764	67.0
34.2	2.620	38.1
49.7	1.834	22.7